The following is a computed powder X-ray diffraction pattern of SmYTlZn. It was derived from a GGA-PBE-relaxed structure, using Cu Kα (weighted mean of Kα1 and Kα2).
Peak positions follow from Bragg's law for the DFT cell and can differ from measured ones.

Structure:
abc: 3.7037 3.7037 7.5259
angles: 90.00 90.00 90.00
Sites, in units of the cell vectors:
Sm (0.0000, 0.0000, 0.0000)
Y (0.0000, 0.0000, 0.5423)
Tl (0.5000, 0.5000, 0.2779)
Zn (0.5000, 0.5000, 0.7616)

Principal peaks in the range 15 to 90 degrees two-theta, by angle:
2θ = 26.8°, intensity 22
2θ = 34.0°, intensity 100
2θ = 34.2°, intensity 51
2θ = 48.4°, intensity 8
2θ = 49.2°, intensity 18
2θ = 50.4°, intensity 8
2θ = 60.6°, intensity 17
2θ = 61.1°, intensity 36
2θ = 71.5°, intensity 10
2θ = 80.9°, intensity 6
2θ = 82.2°, intensity 8
2θ = 82.3°, intensity 8


The following is a computed powder X-ray diffraction pattern of LiMg2CdF8. It was derived from a GGA-PBE-relaxed structure, using Cu Kα (weighted mean of Kα1 and Kα2).
Peak positions follow from Bragg's law for the DFT cell and can differ from measured ones.

Structure:
abc: 4.8643 6.2760 4.8986
angles: 90.00 91.41 90.00
Sites, in units of the cell vectors:
Li (0.0000, 0.0000, 0.0000)
Mg (0.5000, 0.2426, 0.5000)
Mg (0.5000, 0.7574, 0.5000)
Cd (0.0000, 0.5000, 0.0000)
F (0.2105, 0.2354, 0.2012)
F (0.2105, 0.7646, 0.2012)
F (0.3080, 0.0000, 0.6856)
F (0.3170, 0.5000, 0.6733)
F (0.6830, 0.5000, 0.3267)
F (0.6920, 0.0000, 0.3144)
F (0.7895, 0.2354, 0.7988)
F (0.7895, 0.7646, 0.7988)

Principal peaks in the range 15 to 90 degrees two-theta, by angle:
2θ = 23.0°, intensity 73
2θ = 23.1°, intensity 74
2θ = 25.5°, intensity 100
2θ = 26.1°, intensity 80
2θ = 29.3°, intensity 38
2θ = 29.8°, intensity 43
2θ = 34.0°, intensity 66
2θ = 39.0°, intensity 72
2θ = 50.5°, intensity 34
2θ = 50.7°, intensity 37
2θ = 51.3°, intensity 33
2θ = 64.3°, intensity 28


The following is a computed powder X-ray diffraction pattern of Ca2Hg2BiO6. It was derived from a GGA-PBE-relaxed structure, using Cu Kα (weighted mean of Kα1 and Kα2).
Peak positions follow from Bragg's law for the DFT cell and can differ from measured ones.

Structure:
abc: 6.2410 6.2410 6.1964
angles: 91.88 91.88 121.44
Sites, in units of the cell vectors:
Ca (0.1583, 0.8417, 0.0000)
Ca (0.8417, 0.1583, 0.0000)
Hg (0.3338, 0.6662, 0.5000)
Hg (0.6662, 0.3338, 0.5000)
Bi (0.5000, 0.5000, 0.0000)
O (0.1795, 0.1795, 0.8276)
O (0.1924, 0.5260, 0.1946)
O (0.4740, 0.8076, 0.8054)
O (0.5260, 0.1924, 0.1946)
O (0.8076, 0.4740, 0.8054)
O (0.8205, 0.8205, 0.1724)

Principal peaks in the range 15 to 90 degrees two-theta, by angle:
2θ = 16.7°, intensity 100
2θ = 21.8°, intensity 57
2θ = 28.9°, intensity 40
2θ = 29.3°, intensity 43
2θ = 31.7°, intensity 91
2θ = 32.6°, intensity 73
2θ = 36.0°, intensity 31
2θ = 43.1°, intensity 21
2θ = 52.4°, intensity 20
2θ = 52.9°, intensity 26
2θ = 54.2°, intensity 26
2θ = 54.7°, intensity 22